Theoretical powder X-ray diffraction pattern of Sb3Au4 for Cu Kα, 1.54184 Å, from a PBE-relaxed structure.
Neutral-atom scattering factors, no anomalous dispersion.

The 12 most intense peaks (2θ from 15° to 90°), by intensity:
36.6°, intensity 100
33.8°, intensity 92
62.3°, intensity 43
48.5°, intensity 34
43.1°, intensity 33
66.9°, intensity 18
15.6°, intensity 16
81.0°, intensity 15
75.9°, intensity 14
71.1°, intensity 11
85.7°, intensity 10
82.7°, intensity 10

Cell lengths 11.681, 11.681, 11.681 Å; angles 161.51, 161.51, 26.26 degrees
Sites, in units of the cell vectors:
Sb1 0.000 0.000 0.000
Sb2 0.313 0.313 0.000
Sb3 0.687 0.687 0.000
Au1 0.134 0.134 0.000
Au2 0.436 0.436 0.000
Au3 0.564 0.564 0.000
Au4 0.866 0.866 0.000